Starting from a GGA-PBE-relaxed structure, the X-ray diffraction stick pattern of CoAs2Pb was calculated for CuKα.
Lines closer than 0.1° are merged.

Cell and atoms:
a b c (Å): 8.965 8.965 8.965
angles (deg): 160.55 160.19 27.91
Fractional positions:
Co (0.000, 0.000, 0.000)
As (0.433, 0.433, 0.000)
As (0.604, 0.104, 0.500)
Pb (0.262, 0.762, 0.500)

Largest 12 diffraction maxima, in order of rising 2θ, 2θ from 10° to 90°:
Position (°2θ), Rel. int.
10.17, 24
20.42, 46
29.40, 49
30.83, 48
32.88, 45
33.37, 100
39.02, 44
43.13, 80
46.94, 47
52.83, 30
56.47, 30
70.40, 24